The following is a computed powder XRD pattern of La15Ge9P. It was derived from a GGA-PBE-relaxed structure, using a wavelength of 1.5418 Å.
Neutral-atom scattering factors, no anomalous dispersion.

Atomic structure:
abc: 15.7432 15.7432 6.9714
angles: 90.00 90.00 120.00
Space group P6_3mc (No. 186)
Unique sites:
La (0.0164, 0.3393, 0.0000) (multiplicity 12)
La (0.0819, 0.1637, 0.2750) (multiplicity 6)
La (0.1626, 0.5813, 0.2503) (multiplicity 6)
La (0.2484, 0.4968, 0.7233) (multiplicity 6)
Ge (0.0705, 0.5352, 0.7415) (multiplicity 6)
Ge (0.1298, 0.2595, 0.7276) (multiplicity 6)
Ge (0.2000, 0.4000, 0.2795) (multiplicity 6)
P (0.3333, 0.6667, 0.4871) (multiplicity 2)

Largest 10 diffraction maxima, low angle first, 2θ from 15° to 90°:
two_theta  I/Imax
28.00  25.2
30.04  32.3
32.37  100.0
32.73  97.8
34.17  50.1
47.78  22.6
49.79  25.7
52.33  15.6
53.47  18.8
64.15  13.7